Starting from a DFT-relaxed cell (GGA-PBE, Alexandria), the X-ray diffraction stick pattern of TbCuBi2Se5 was calculated for copper Kα.
No peak broadening, texture or thermal motion is included.

Cell and atoms:
Unit cell a=4.114 b=19.533 c=12.953 alpha=90.00 beta=90.00 gamma=90.00
Space group Cmc2_1 (No. 36)
Unique sites:
Tb 0.000 0.197 0.000
Cu 0.000 0.424 0.444
Bi 0.000 0.082 0.245
Bi 0.000 0.156 0.668
Se 0.000 0.049 0.038
Se 0.000 0.298 0.660
Se 0.000 0.313 0.351
Se 0.000 0.346 0.018
Se 0.000 0.487 0.279

Peak list (10 most intense, 2θ from 10° to 80°, by angle)
2θ/deg  d (Å)  intensity  h k l
19.43  4.569  43.7  0 4 1
26.06  3.419  30.8  1 1 2
26.54  3.359  32.5  1 3 1
28.27  3.157  35.1  0 6 1
30.36  2.944  100.0  1 1 3
32.35  2.767  31.4  1 5 1
34.56  2.595  56.2  1 5 2
44.02  2.057  35.5  2 0 0
44.49  2.036  28.6  1 7 3
48.41  1.880  44.6  1 7 4

***

Starting from a DFT-relaxed cell (GGA-PBE, Alexandria), the X-ray diffraction stick pattern of Na2SrU2O7 was calculated for copper Kα.
No peak broadening, texture or thermal motion is included.

Cell and atoms:
Unit cell a=4.348 b=4.348 c=20.367 alpha=90.00 beta=90.00 gamma=90.00
Space group I4/mmm (No. 139)
Unique sites:
Na 0.000 0.500 0.250
Sr 0.000 0.000 0.000
U 0.000 0.000 0.394
O 0.000 0.000 0.294
O 0.000 0.000 0.500
O 0.000 0.500 0.092

Peak list (10 most intense, 2θ from 10° to 80°, by angle)
2θ/deg  d (Å)  intensity  h k l
17.42  5.092  29.4  0 0 4
20.89  4.252  90.0  1 0 1
24.31  3.661  58.1  1 0 3
29.05  3.074  52.6  1 1 0
30.06  2.972  100.0  1 0 5
34.07  2.632  25.1  1 1 4
41.54  2.174  44.4  2 0 0
52.13  1.755  46.1  2 1 5
54.01  1.698  26.1  1 1 10
63.05  1.474  24.6  1 0 13

***

Starting from a DFT-relaxed cell (GGA-PBE, Alexandria), the X-ray diffraction stick pattern of Si2Ag2Au was calculated for copper Kα.
No peak broadening, texture or thermal motion is included.

Cell and atoms:
Unit cell a=6.307 b=6.307 c=4.449 alpha=90.00 beta=90.00 gamma=90.00
Space group P4/mbm (No. 127)
Unique sites:
Si 0.130 0.370 0.000
Ag 0.197 0.697 0.500
Au 0.000 0.000 0.000

Peak list (10 most intense, 2θ from 10° to 80°, by angle)
2θ/deg  d (Å)  intensity  h k l
19.91  4.460  30.1  1 1 0
28.33  3.150  47.2  1 1 1
34.87  2.573  100.0  2 0 1
37.76  2.382  35.0  2 1 1
40.45  2.230  27.3  2 2 0
40.55  2.224  27.5  0 0 2
45.50  1.994  38.2  3 1 0
50.12  1.820  14.8  3 1 1
58.61  1.575  21.2  2 2 2
62.55  1.485  23.7  3 1 2

***

Starting from a DFT-relaxed cell (GGA-PBE, Alexandria), the X-ray diffraction stick pattern of Pm2U3Ru4 was calculated for copper Kα.
No peak broadening, texture or thermal motion is included.

Cell and atoms:
Unit cell a=5.883 b=11.086 c=12.497 alpha=90.00 beta=90.00 gamma=90.00
Space group Ibam (No. 72)
Unique sites:
Pm 0.234 0.114 0.000
U 0.000 0.173 0.250
U 0.000 0.500 0.250
Ru 0.205 0.356 0.118

Peak list (10 most intense, 2θ from 10° to 80°, by angle)
2θ/deg  d (Å)  intensity  h k l
14.17  6.249  44.2  0 0 2
28.54  3.128  75.1  1 3 0
30.85  2.898  68.4  1 2 3
31.99  2.798  100.0  1 3 2
33.67  2.661  97.3  2 0 2
40.81  2.211  73.8  1 3 4
42.19  2.142  28.8  2 0 4
42.55  2.125  38.3  1 2 5
52.82  1.733  45.6  3 3 0
66.90  1.399  38.1  2 6 4

***

Starting from a DFT-relaxed cell (GGA-PBE, Alexandria), the X-ray diffraction stick pattern of Pr2Dy6Cd was calculated for copper Kα.
No peak broadening, texture or thermal motion is included.

Cell and atoms:
Unit cell a=9.881 b=10.320 c=5.512 alpha=90.00 beta=90.00 gamma=90.00
Space group Pnnm (No. 58)
Unique sites:
Pr 0.192 0.245 0.000
Dy 0.019 0.320 0.500
Dy 0.138 0.894 0.000
Dy 0.180 0.570 0.000
Cd 0.000 0.000 0.500

Peak list (10 most intense, 2θ from 10° to 80°, by angle)
2θ/deg  d (Å)  intensity  h k l
30.63  2.918  22.9  0 3 1
31.66  2.826  100.0  3 0 1
31.98  2.799  53.3  1 3 1
32.49  2.756  41.1  0 0 2
37.82  2.379  11.3  3 3 0
46.02  1.972  18.2  2 3 2
56.81  1.621  21.6  1 6 1
57.43  1.605  13.7  3 0 3
57.64  1.599  10.0  1 3 3
66.84  1.400  10.4  2 6 2

***

Starting from a DFT-relaxed cell (GGA-PBE, Alexandria), the X-ray diffraction stick pattern of Ca2Ga3Ni was calculated for copper Kα.
No peak broadening, texture or thermal motion is included.

Cell and atoms:
Unit cell a=9.315 b=7.143 c=8.000 alpha=90.00 beta=100.03 gamma=90.00
Space group C2/c (No. 15)
Unique sites:
Ca 0.164 0.157 0.155
Ga 0.000 0.174 0.750
Ga 0.123 0.370 0.508
Ni 0.000 0.498 0.750

Peak list (10 most intense, 2θ from 10° to 80°, by angle)
2θ/deg  d (Å)  intensity  h k l
15.72  5.636  49.2  1 1 0
19.35  4.586  25.1  2 0 0
20.33  4.368  26.7  1 1 1
32.44  2.760  28.4  2 0 2
32.58  2.748  100.0  2 2 -1
35.59  2.523  40.8  3 1 1
36.16  2.484  50.5  1 1 -3
42.00  2.151  36.0  4 0 -2
44.68  2.028  17.2  1 3 -2
46.52  1.952  40.8  1 3 2